Structure and simulated X-ray powder pattern of Ac4PmGe (a DFT-relaxed cell (PBE, Alexandria); Cu Ka).

The 10 most intense peaks (2θ = 10–90°), by angle:
- 24.9°, I = 86
- 30.7°, I = 29
- 31.3°, I = 100
- 34.2°, I = 52
- 34.4°, I = 35
- 49.7°, I = 22
- 51.8°, I = 18
- 53.8°, I = 36
- 54.3°, I = 31
- 63.9°, I = 19

Crystal structure
a b c (Å): 8.914 8.914 8.914
angles (deg): 124.58 124.58 82.23
Fractional positions:
Ac 0.018 0.518 0.822
Ac 0.197 0.018 0.500
Ac 0.303 0.803 0.822
Ac 0.482 0.303 0.500
Ac 0.518 0.697 0.500
Ac 0.697 0.197 0.178
Ac 0.803 0.982 0.500
Ac 0.982 0.482 0.178
Pm 0.000 0.000 0.000
Pm 0.500 0.500 0.000
Ge 0.250 0.250 0.000
Ge 0.750 0.750 0.000



Structure and simulated X-ray powder pattern of Ac4Pm6Ge7 (a DFT-relaxed cell (PBE, Alexandria); Cu Ka).

The 10 most intense peaks (2θ = 10–90°), by angle:
- 25.5°, I = 28
- 28.6°, I = 14
- 31.3°, I = 100
- 36.3°, I = 57
- 38.6°, I = 14
- 40.8°, I = 11
- 52.3°, I = 31
- 55.8°, I = 10
- 59.1°, I = 14
- 62.3°, I = 28

Crystal structure
a b c (Å): 8.562 8.562 8.562
angles (deg): 109.47 109.47 109.47
Fractional positions:
Ac 0.000 0.000 0.500
Ac 0.000 0.500 0.000
Ac 0.500 0.000 0.000
Ac 0.500 0.500 0.500
Pm 0.000 0.306 0.306
Pm 0.000 0.694 0.694
Pm 0.306 0.000 0.306
Pm 0.306 0.306 0.000
Pm 0.694 0.000 0.694
Pm 0.694 0.694 0.000
Ge 0.000 0.000 0.000
Ge 0.250 0.500 0.750
Ge 0.250 0.750 0.500
Ge 0.500 0.250 0.750
Ge 0.500 0.750 0.250
Ge 0.750 0.250 0.500
Ge 0.750 0.500 0.250



Structure and simulated X-ray powder pattern of Ac3PrGe6 (a DFT-relaxed cell (PBE, Alexandria); Cu Ka).

The 10 most intense peaks (2θ = 10–90°), by angle:
- 26.3°, I = 48
- 28.5°, I = 19
- 30.6°, I = 100
- 33.2°, I = 73
- 34.0°, I = 67
- 43.5°, I = 16
- 44.3°, I = 32
- 49.1°, I = 39
- 52.6°, I = 18
- 61.1°, I = 14

Crystal structure
a b c (Å): 8.285 8.285 8.285
angles (deg): 98.38 98.38 98.38
Fractional positions:
Ac 0.185 0.750 0.315
Ac 0.250 0.685 0.815
Ac 0.315 0.185 0.750
Ac 0.685 0.815 0.250
Ac 0.750 0.315 0.185
Ac 0.815 0.250 0.685
Pr 0.000 0.000 0.000
Pr 0.500 0.500 0.500
Ge 0.015 0.090 0.384
Ge 0.090 0.384 0.015
Ge 0.116 0.410 0.485
Ge 0.384 0.015 0.090
Ge 0.410 0.485 0.116
Ge 0.485 0.116 0.410
Ge 0.515 0.884 0.590
Ge 0.590 0.515 0.884
Ge 0.616 0.985 0.910
Ge 0.884 0.590 0.515
Ge 0.910 0.616 0.985
Ge 0.985 0.910 0.616



Structure and simulated X-ray powder pattern of Ac2PrGe (a DFT-relaxed cell (PBE, Alexandria); Cu Ka).

The 10 most intense peaks (2θ = 10–90°), by angle:
- 24.2°, I = 23
- 26.9°, I = 72
- 28.3°, I = 100
- 32.0°, I = 14
- 38.7°, I = 25
- 42.2°, I = 42
- 49.3°, I = 15
- 50.8°, I = 34
- 51.6°, I = 19
- 68.8°, I = 17

Crystal structure
a b c (Å): 10.248 10.248 10.248
angles (deg): 24.11 24.11 24.11
Fractional positions:
Ac 0.000 0.000 0.000
Ac 0.206 0.206 0.206
Pr 0.437 0.437 0.437
Ge 0.603 0.603 0.603



Structure and simulated X-ray powder pattern of Ac2PrGe3Pt12 (a DFT-relaxed cell (PBE, Alexandria); Cu Ka).

The 10 most intense peaks (2θ = 10–90°), by angle:
- 26.2°, I = 13
- 30.7°, I = 100
- 33.6°, I = 25
- 42.6°, I = 68
- 45.1°, I = 53
- 46.7°, I = 14
- 53.4°, I = 16
- 63.8°, I = 15
- 79.8°, I = 12
- 88.6°, I = 13

Crystal structure
a b c (Å): 8.056 8.056 8.056
angles (deg): 63.55 63.55 63.55
Fractional positions:
Ac 0.101 0.101 0.101
Ac 0.899 0.899 0.899
Pr 0.500 0.500 0.500
Ge 0.000 0.500 0.500
Ge 0.500 0.000 0.500
Ge 0.500 0.500 0.000
Pt 0.093 0.646 0.646
Pt 0.147 0.147 0.596
Pt 0.147 0.596 0.147
Pt 0.354 0.354 0.907
Pt 0.354 0.907 0.354
Pt 0.404 0.853 0.853
Pt 0.596 0.147 0.147
Pt 0.646 0.093 0.646
Pt 0.646 0.646 0.093
Pt 0.853 0.404 0.853
Pt 0.853 0.853 0.404
Pt 0.907 0.354 0.354



Structure and simulated X-ray powder pattern of AcPrGeS (a DFT-relaxed cell (PBE, Alexandria); Cu Ka).

The 10 most intense peaks (2θ = 10–90°), by angle:
- 24.9°, I = 41
- 25.1°, I = 14
- 28.9°, I = 100
- 41.3°, I = 38
- 41.4°, I = 38
- 48.9°, I = 22
- 51.2°, I = 21
- 67.8°, I = 18
- 68.0°, I = 17
- 75.4°, I = 13

Crystal structure
a b c (Å): 7.540 7.540 7.540
angles (deg): 33.72 33.72 33.72
Fractional positions:
Ac 0.000 0.000 0.000
Pr 0.500 0.500 0.500
Ge 0.245 0.245 0.245
S 0.753 0.753 0.753



Structure and simulated X-ray powder pattern of Ac4Ge5Pt2 (a DFT-relaxed cell (PBE, Alexandria); Cu Ka).

The 10 most intense peaks (2θ = 10–90°), by angle:
- 11.8°, I = 22
- 30.5°, I = 100
- 31.0°, I = 89
- 31.3°, I = 76
- 40.0°, I = 39
- 40.6°, I = 34
- 41.4°, I = 29
- 42.6°, I = 29
- 58.4°, I = 24
- 59.9°, I = 22

Crystal structure
a b c (Å): 7.518 4.504 8.734
angles (deg): 90.00 92.94 90.00
Fractional positions:
Ac 0.233 0.000 0.136
Ac 0.248 0.000 0.625
Ac 0.752 0.000 0.375
Ac 0.767 0.000 0.864
Ge 0.105 0.500 0.882
Ge 0.422 0.500 0.362
Ge 0.500 0.500 0.000
Ge 0.578 0.500 0.638
Ge 0.895 0.500 0.118
Pt 0.087 0.500 0.369
Pt 0.913 0.500 0.631



Structure and simulated X-ray powder pattern of Ac2GePt3 (a DFT-relaxed cell (PBE, Alexandria); Cu Ka).

The 10 most intense peaks (2θ = 10–90°), by angle:
- 31.0°, I = 44
- 31.5°, I = 100
- 39.5°, I = 48
- 40.6°, I = 25
- 43.4°, I = 20
- 50.8°, I = 13
- 52.0°, I = 21
- 60.2°, I = 28
- 60.9°, I = 15
- 66.9°, I = 12

Crystal structure
a b c (Å): 4.166 4.447 7.975
angles (deg): 90.00 90.00 90.00
Fractional positions:
Ac 0.000 0.000 0.000
Ac 0.000 0.500 0.477
Ge 0.500 0.500 0.810
Pt 0.500 0.000 0.329
Pt 0.500 0.000 0.671
Pt 0.500 0.500 0.124



Structure and simulated X-ray powder pattern of AcGe12Pt4 (a DFT-relaxed cell (PBE, Alexandria); Cu Ka).

The 10 most intense peaks (2θ = 10–90°), by angle:
- 20.3°, I = 28
- 28.8°, I = 100
- 32.3°, I = 78
- 38.4°, I = 44
- 41.2°, I = 17
- 46.3°, I = 52
- 51.1°, I = 79
- 53.3°, I = 37
- 67.6°, I = 30
- 82.4°, I = 21

Crystal structure
a b c (Å): 7.587 7.587 7.587
angles (deg): 109.47 109.47 109.47
Fractional positions:
Ac 0.000 0.000 0.000
Ge 0.152 0.357 0.508
Ge 0.152 0.643 0.795
Ge 0.205 0.848 0.357
Ge 0.357 0.205 0.848
Ge 0.357 0.508 0.152
Ge 0.492 0.848 0.643
Ge 0.508 0.152 0.357
Ge 0.643 0.492 0.848
Ge 0.643 0.795 0.152
Ge 0.795 0.152 0.643
Ge 0.848 0.357 0.205
Ge 0.848 0.643 0.492
Pt 0.000 0.000 0.500
Pt 0.000 0.500 0.000
Pt 0.500 0.000 0.000
Pt 0.500 0.500 0.500



Structure and simulated X-ray powder pattern of Ac8Ge5Pt (a DFT-relaxed cell (PBE, Alexandria); Cu Ka).

The 10 most intense peaks (2θ = 10–90°), by angle:
- 25.8°, I = 27
- 28.6°, I = 56
- 29.2°, I = 100
- 34.3°, I = 27
- 34.5°, I = 34
- 34.7°, I = 29
- 45.9°, I = 19
- 47.3°, I = 16
- 47.7°, I = 19
- 48.0°, I = 25

Crystal structure
a b c (Å): 8.426 8.426 8.426
angles (deg): 110.09 110.09 108.24
Fractional positions:
Ac 0.005 0.635 0.758
Ac 0.249 0.499 0.120
Ac 0.365 0.123 0.370
Ac 0.380 0.129 0.880
Ac 0.501 0.620 0.750
Ac 0.754 0.995 0.630
Ac 0.871 0.751 0.250
Ac 0.877 0.246 0.242
Ge 0.123 0.255 0.629
Ge 0.250 0.750 0.500
Ge 0.505 0.877 0.132
Ge 0.627 0.495 0.371
Ge 0.745 0.373 0.868
Pt 0.000 0.000 0.000



Structure and simulated X-ray powder pattern of AcGe2Pt4 (a DFT-relaxed cell (PBE, Alexandria); Cu Ka).

The 10 most intense peaks (2θ = 10–90°), by angle:
- 31.2°, I = 37
- 31.8°, I = 15
- 34.5°, I = 100
- 36.1°, I = 26
- 41.1°, I = 15
- 41.2°, I = 13
- 42.6°, I = 42
- 45.2°, I = 22
- 50.8°, I = 15
- 57.0°, I = 14

Crystal structure
a b c (Å): 18.606 4.247 7.052
angles (deg): 90.00 90.00 90.00
Fractional positions:
Ac 0.139 0.250 0.035
Ac 0.361 0.750 0.535
Ac 0.639 0.250 0.465
Ac 0.861 0.750 0.965
Ge 0.034 0.750 0.729
Ge 0.200 0.250 0.465
Ge 0.300 0.750 0.965
Ge 0.466 0.250 0.229
Ge 0.534 0.750 0.771
Ge 0.700 0.250 0.035
Ge 0.800 0.750 0.535
Ge 0.966 0.250 0.271
Pt 0.013 0.750 0.126
Pt 0.064 0.250 0.520
Pt 0.165 0.750 0.660
Pt 0.234 0.750 0.277
Pt 0.266 0.250 0.777
Pt 0.335 0.250 0.160
Pt 0.436 0.750 0.020
Pt 0.487 0.250 0.626
Pt 0.513 0.750 0.374
Pt 0.564 0.250 0.980
Pt 0.665 0.750 0.840
Pt 0.734 0.750 0.223
Pt 0.766 0.250 0.723
Pt 0.835 0.250 0.340
Pt 0.936 0.750 0.480
Pt 0.987 0.250 0.874



Structure and simulated X-ray powder pattern of Ac2Ge3Pt2 (a DFT-relaxed cell (PBE, Alexandria); Cu Ka).

The 10 most intense peaks (2θ = 10–90°), by angle:
- 26.9°, I = 22
- 30.4°, I = 26
- 31.8°, I = 97
- 32.8°, I = 100
- 34.5°, I = 39
- 37.3°, I = 29
- 39.4°, I = 80
- 41.8°, I = 50
- 55.3°, I = 19
- 58.7°, I = 37

Crystal structure
a b c (Å): 9.915 9.915 7.260
angles (deg): 90.00 90.00 153.31
Fractional positions:
Ac 0.057 0.943 0.750
Ac 0.158 0.842 0.250
Ac 0.842 0.158 0.750
Ac 0.943 0.057 0.250
Ge 0.225 0.775 0.750
Ge 0.439 0.561 0.569
Ge 0.439 0.561 0.931
Ge 0.561 0.439 0.069
Ge 0.561 0.439 0.431
Ge 0.775 0.225 0.250
Pt 0.307 0.693 0.050
Pt 0.307 0.693 0.450
Pt 0.693 0.307 0.550
Pt 0.693 0.307 0.950